Record 1
Starting from a structure optimized by DFT (GGA-PBE), the powder diffractogram of La12NdHo5 was simulated for Cu Ka.
Neutral-atom scattering factors, no anomalous dispersion.

abc: 11.5418 18.2563 6.0566
angles: 90.00 90.00 90.00
Space group Cmmm (No. 65)
Inequivalent atoms, fractional coordinates:
La (0.1552, 0.1718, 0.0000) (multiplicity 8)
La (0.1563, 0.0000, 0.5000) (multiplicity 4)
La (0.1574, 0.3324, 0.5000) (multiplicity 8)
La (0.1609, 0.5000, 0.0000) (multiplicity 4)
Nd (0.0000, 0.0000, 0.0000) (multiplicity 2)
Ho (0.0000, 0.1658, 0.5000) (multiplicity 4)
Ho (0.0000, 0.3377, 0.0000) (multiplicity 4)
Ho (0.0000, 0.5000, 0.5000) (multiplicity 2)

Peak list (10 most intense, 2θ = 10–90°, low angle first)
two_theta, I_rel, h k l
29.35, 30, 0 6 0
29.50, 30, 0 0 2
31.22, 100, 3 3 1
42.10, 22, 0 6 2
53.24, 22, 3 9 1
53.42, 22, 3 3 3
56.61, 9, 6 6 0
56.69, 9, 6 0 2
65.12, 11, 6 6 2
70.17, 9, 3 9 3

=====

Record 2
Starting from a structure optimized by DFT (GGA-PBE), the powder diffractogram of Pm3Pt2Au3 was simulated for Cu Ka.
Neutral-atom scattering factors, no anomalous dispersion.

abc: 7.5007 17.5420 5.5942
angles: 90.00 90.00 90.00
Space group Pnma (No. 62)
Inequivalent atoms, fractional coordinates:
Pm (0.0330, 0.1061, 0.1252) (multiplicity 8)
Pm (0.1599, 0.2500, 0.6511) (multiplicity 4)
Pt (0.1155, 0.6240, 0.3707) (multiplicity 8)
Au (0.1859, 0.0258, 0.5885) (multiplicity 8)
Au (0.1874, 0.7500, 0.6697) (multiplicity 4)

Peak list (10 most intense, 2θ = 10–90°, low angle first)
two_theta, I_rel, h k l
31.39, 69, 2 4 0
32.40, 29, 1 5 1
32.57, 21, 2 3 1
34.61, 36, 1 1 2
35.34, 100, 2 4 1
37.61, 47, 1 3 2
39.47, 54, 3 0 1
40.08, 78, 1 4 2
41.17, 34, 0 8 0
41.27, 29, 1 7 1

=====

Record 3
Starting from a structure optimized by DFT (GGA-PBE), the powder diffractogram of Cs3LaAg2Br8 was simulated for Cu Ka.
Neutral-atom scattering factors, no anomalous dispersion.

abc: 8.1078 8.1078 10.6394
angles: 90.00 90.00 120.00
Space group P-3m1 (No. 164)
Inequivalent atoms, fractional coordinates:
Cs (0.0000, 0.0000, 0.0000) (multiplicity 1)
Cs (0.3333, 0.6667, 0.6293) (multiplicity 2)
La (0.0000, 0.0000, 0.5000) (multiplicity 1)
Ag (0.3333, 0.6667, 0.1893) (multiplicity 2)
Br (0.1670, 0.3341, 0.3357) (multiplicity 6)
Br (0.3333, 0.6667, 0.9514) (multiplicity 2)

Peak list (10 most intense, 2θ = 10–90°, low angle first)
two_theta, I_rel, h k l
20.95, 33, 0 1 2
21.93, 100, 1 1 0
26.74, 35, 0 2 1
27.67, 18, 1 1 2
28.19, 21, 1 0 3
30.51, 91, 2 0 2
36.00, 21, 2 0 3
38.46, 23, 3 0 0
42.65, 45, 0 2 4
44.71, 52, 2 2 0